# Dy7Fe2Te2
Calculated X-ray diffraction stick pattern, Cu Kα (λ = 1.5418 Å). Input: the PBE geometry in Alexandria.
Intensities are scaled so that the largest is 100.

Cell and atoms:
```
data_Dy7Fe2Te2
_space_group_name_H-M_alt 'I m m 2'
_space_group_IT_number 44
_cell_length_a 3.895
_cell_length_b 15.766
_cell_length_c 9.394
_cell_angle_alpha 90.00
_cell_angle_beta 90.00
_cell_angle_gamma 90.00
loop_
_space_group_symop_operation_xyz
'x,y,z'
'-x,-y,z'
'-x,y,z'
'x,-y,z'
'x+1/2,y+1/2,z+1/2'
'-x+1/2,-y+1/2,z+1/2'
'-x+1/2,y+1/2,z+1/2'
'x+1/2,-y+1/2,z+1/2'
loop_
_atom_site_label
_atom_site_type_symbol
_atom_site_fract_x
_atom_site_fract_y
_atom_site_fract_z
_atom_site_occupancy
Dy1 Dy 0.000 0.000 0.000 1
Dy2 Dy 0.000 0.134 0.582 1
Dy3 Dy 0.000 0.315 0.376 1
Dy4 Dy 0.000 0.350 0.736 1
Fe1 Fe 0.000 0.238 0.067 1
Te1 Te 0.000 0.000 0.334 1
Te2 Te 0.000 0.500 0.235 1
```

Top 8 peaks for 10 to 80 degrees two-theta, by angle:
(hkl)	2θ/deg	intensity
1 3 0	28.53	24
1 1 2	30.35	53
0 3 3	33.31	80
1 4 1	33.73	100
0 6 0	34.12	28
1 3 2	34.44	57
2 0 0	46.64	32
2 3 3	58.51	32